# 1
# UInBr6
Simulated X-ray diffraction stick pattern, a wavelength of 1.5418 Å. Input: the GGA-PBE geometry in Alexandria.
Neutral-atom scattering factors, no anomalous dispersion.

Main lines, by angle (10 to 90 degrees two-theta):
| d [Å] | 2theta | I (rel.) | h k l |
| --- | --- | --- | --- |
| 7.169 | 12.35 | 236 | 0 0 1 |
| 6.357 | 13.93 | 296 | 1 1 0 |
| 6.239 | 14.20 | 689 | 0 2 0 |
| 5.413 | 16.37 | 889 | 1 1 -1 |
| 4.292 | 20.69 | 413 | 1 1 1 |
| 3.076 | 29.02 | 1000 | 1 3 1 |
| 3.004 | 29.74 | 480 | 2 0 -2 |
| 2.172 | 41.57 | 320 | 3 3 -1 |
| 2.127 | 42.50 | 381 | 1 3 -3 |
| 1.710 | 53.61 | 244 | 2 6 -2 |

Cell and atoms:
```
data_UInBr6
_symmetry_space_group_name_H-M 'C 1 2/m 1'
_symmetry_Int_Tables_number 12
_cell_length_a 7.666
_cell_length_b 12.479
_cell_length_c 7.439
_cell_angle_alpha 90.00
_cell_angle_beta 105.48
_cell_angle_gamma 90.00
loop_
_symmetry_equiv_pos_as_xyz
'x,y,z'
'-x,-y,-z'
'-x,y,-z'
'x,-y,z'
'x+1/2,y+1/2,z'
'-x+1/2,-y+1/2,-z'
'-x+1/2,y+1/2,-z'
'x+1/2,-y+1/2,z'
loop_
_atom_site_label
_atom_site_type_symbol
_atom_site_fract_x
_atom_site_fract_y
_atom_site_fract_z
_atom_site_occupancy
U1 U 0.000 0.000 0.000 1
In1 In 0.000 0.500 0.500 1
Br1 Br 0.204 0.151 0.220 1
Br2 Br 0.230 0.000 0.781 1
```


# 2
# PrY4S5
Simulated X-ray diffraction stick pattern, a wavelength of 1.5418 Å. Input: the GGA-PBE geometry in Alexandria.
Neutral-atom scattering factors, no anomalous dispersion.

Main lines, by angle (10 to 90 degrees two-theta):
| d [Å] | 2theta | I (rel.) | h k l |
| --- | --- | --- | --- |
| 3.232 | 27.60 | 488 | 0 1 5 |
| 2.799 | 31.97 | 1000 | 0 2 0 |
| 1.984 | 45.74 | 116 | 0 0 10 |
| 1.979 | 45.84 | 466 | 1 2 5 |
| 1.974 | 45.98 | 116 | 2 0 0 |
| 1.689 | 54.31 | 158 | 1 1 10 |
| 1.619 | 56.88 | 118 | 0 2 10 |
| 1.613 | 57.09 | 119 | 2 2 0 |
| 1.252 | 76.02 | 198 | 1 4 5 |
| 1.144 | 84.71 | 111 | 0 4 10 |

Cell and atoms:
```
data_PrY4S5
_symmetry_space_group_name_H-M 'I m m m'
_symmetry_Int_Tables_number 71
_symmetry_space_group_name_Hall '-I 2 2'
_cell_length_a 3.948
_cell_length_b 5.601
_cell_length_c 19.836
_cell_angle_alpha 90.00
_cell_angle_beta 90.00
_cell_angle_gamma 90.00
loop_
_atom_site_label
_atom_site_type_symbol
_atom_site_fract_x
_atom_site_fract_y
_atom_site_fract_z
_atom_site_occupancy
Pr1 Pr 0.000 0.000 0.000 1
Y1 Y 0.000 0.000 0.202 1
Y2 Y 0.000 0.000 0.401 1
S1 S 0.000 0.500 0.000 1
S2 S 0.000 0.500 0.199 1
S3 S 0.000 0.500 0.394 1
```


# 3
# MnAlZnFe
Simulated X-ray diffraction stick pattern, a wavelength of 1.5418 Å. Input: the GGA-PBE geometry in Alexandria.
Neutral-atom scattering factors, no anomalous dispersion.

Main lines, by angle (10 to 90 degrees two-theta):
| d [Å] | 2theta | I (rel.) | h k l |
| --- | --- | --- | --- |
| 3.390 | 26.29 | 114 | 1 1 1 |
| 2.936 | 30.45 | 9 | 2 0 0 |
| 2.076 | 43.60 | 1000 | 2 2 0 |
| 1.770 | 51.63 | 53 | 3 1 1 |
| 1.468 | 63.37 | 152 | 4 0 0 |
| 1.347 | 69.83 | 19 | 3 3 1 |
| 1.198 | 80.07 | 295 | 4 2 2 |
| 1.130 | 86.05 | 14 | 5 1 1 |

Cell and atoms:
```
data_MnAlZnFe
_symmetry_space_group_name_H-M 'F -4 3 m'
_symmetry_Int_Tables_number 216
_symmetry_space_group_name_Hall 'F -4 2 3'
_cell_length_a 5.871
_cell_length_b 5.871
_cell_length_c 5.871
_cell_angle_alpha 90.00
_cell_angle_beta 90.00
_cell_angle_gamma 90.00
loop_
_atom_site_label
_atom_site_type_symbol
_atom_site_fract_x
_atom_site_fract_y
_atom_site_fract_z
_atom_site_occupancy
Mn1 Mn 0.000 0.000 0.000 1
Al1 Al 0.250 0.250 0.250 1
Zn1 Zn 0.250 0.250 0.750 1
Fe1 Fe 0.000 0.000 0.500 1
```


# 4
# Ca3ErPd4
Simulated X-ray diffraction stick pattern, a wavelength of 1.5418 Å. Input: the GGA-PBE geometry in Alexandria.
Neutral-atom scattering factors, no anomalous dispersion.

Main lines, by angle (10 to 90 degrees two-theta):
| d [Å] | 2theta | I (rel.) | h k l |
| --- | --- | --- | --- |
| 7.085 | 12.49 | 142 | 0 0 2 |
| 2.493 | 36.02 | 1000 | 1 0 4 |
| 2.482 | 36.19 | 508 | 1 1 0 |
| 1.771 | 51.60 | 80 | 0 0 8 |
| 1.755 | 52.12 | 210 | 2 0 0 |
| 1.442 | 64.65 | 159 | 1 1 8 |
| 1.435 | 64.98 | 342 | 2 1 4 |
| 1.247 | 76.39 | 97 | 2 0 8 |
| 1.241 | 76.82 | 77 | 2 2 0 |
| 1.110 | 87.98 | 77 | 3 1 0 |

Cell and atoms:
```
data_Ca3ErPd4
_symmetry_space_group_name_H-M 'P 4/m m m'
_symmetry_Int_Tables_number 123
_symmetry_space_group_name_Hall '-P 4 2'
_cell_length_a 3.510
_cell_length_b 3.510
_cell_length_c 14.171
_cell_angle_alpha 90.00
_cell_angle_beta 90.00
_cell_angle_gamma 90.00
loop_
_atom_site_label
_atom_site_type_symbol
_atom_site_fract_x
_atom_site_fract_y
_atom_site_fract_z
_atom_site_occupancy
Ca1 Ca 0.000 0.000 0.000 1
Ca2 Ca 0.000 0.000 0.249 1
Er1 Er 0.000 0.000 0.500 1
Pd1 Pd 0.500 0.500 0.125 1
Pd2 Pd 0.500 0.500 0.387 1
```


# 5
# CeCd2Ag2
Simulated X-ray diffraction stick pattern, a wavelength of 1.5418 Å. Input: the GGA-PBE geometry in Alexandria.
Neutral-atom scattering factors, no anomalous dispersion.

Main lines, by angle (10 to 90 degrees two-theta):
| d [Å] | 2theta | I (rel.) | h k l |
| --- | --- | --- | --- |
| 2.632 | 34.06 | 489 | 1 0 3 |
| 2.512 | 35.74 | 1000 | 1 1 2 |
| 2.496 | 35.98 | 542 | 0 2 0 |
| 2.425 | 37.08 | 893 | 0 1 5 |
| 2.128 | 42.48 | 162 | 1 1 4 |
| 1.811 | 50.38 | 314 | 1 2 3 |
| 1.444 | 64.53 | 169 | 1 3 2 |
| 1.427 | 65.41 | 160 | 0 3 5 |
| 1.348 | 69.79 | 146 | 2 2 0 |
| 1.336 | 70.48 | 255 | 2 1 5 |

Cell and atoms:
```
data_CeCd2Ag2
_symmetry_space_group_name_H-M 'P m m n'
_symmetry_Int_Tables_number 59
_cell_length_a 3.202
_cell_length_b 4.992
_cell_length_c 13.868
_cell_angle_alpha 90.00
_cell_angle_beta 90.00
_cell_angle_gamma 90.00
loop_
_symmetry_equiv_pos_as_xyz
'x,y,z'
'-x,-y,-z'
'-x+1/2,-y+1/2,z'
'x+1/2,y+1/2,-z'
'x+1/2,-y,-z'
'-x+1/2,y,z'
'-x,y+1/2,-z'
'x,-y+1/2,z'
loop_
_atom_site_label
_atom_site_type_symbol
_atom_site_fract_x
_atom_site_fract_y
_atom_site_fract_z
_atom_site_occupancy
Ce1 Ce 0.250 0.250 0.249 1
Cd1 Cd 0.250 0.250 0.640 1
Cd2 Cd 0.250 0.750 0.967 1
Ag1 Ag 0.250 0.250 0.852 1
Ag2 Ag 0.250 0.750 0.536 1
```


# 6
# PmPr4Y2Sc
Simulated X-ray diffraction stick pattern, a wavelength of 1.5418 Å. Input: the GGA-PBE geometry in Alexandria.
Neutral-atom scattering factors, no anomalous dispersion.

Main lines, by angle (10 to 90 degrees two-theta):
| d [Å] | 2theta | I (rel.) | h k l |
| --- | --- | --- | --- |
| 2.950 | 30.29 | 572 | 2 0 0 |
| 2.826 | 31.66 | 1000 | 1 1 2 |
| 2.086 | 43.37 | 212 | 2 2 0 |
| 1.920 | 47.33 | 77 | 0 0 4 |
| 1.680 | 54.63 | 210 | 1 3 2 |
| 1.677 | 54.74 | 209 | 3 1 2 |
| 1.610 | 57.24 | 173 | 2 0 4 |
| 1.413 | 66.13 | 111 | 2 2 4 |
| 1.308 | 72.25 | 90 | 3 3 2 |
| 1.224 | 78.08 | 63 | 1 1 6 |

Cell and atoms:
```
data_PmPr4Y2Sc
_symmetry_space_group_name_H-M 'P m m m'
_symmetry_Int_Tables_number 47
_cell_length_a 5.893
_cell_length_b 5.909
_cell_length_c 7.682
_cell_angle_alpha 90.00
_cell_angle_beta 90.00
_cell_angle_gamma 90.00
loop_
_symmetry_equiv_pos_as_xyz
'x,y,z'
'-x,-y,-z'
'-x,-y,z'
'x,y,-z'
'x,-y,-z'
'-x,y,z'
'-x,y,-z'
'x,-y,z'
loop_
_atom_site_label
_atom_site_type_symbol
_atom_site_fract_x
_atom_site_fract_y
_atom_site_fract_z
_atom_site_occupancy
Pm1 Pm 0.000 0.000 0.000 1
Pr1 Pr 0.000 0.500 0.264 1
Pr2 Pr 0.500 0.000 0.263 1
Y1 Y 0.000 0.000 0.500 1
Y2 Y 0.500 0.500 0.000 1
Sc1 Sc 0.500 0.500 0.500 1
```


# 7
# AgPb2Cl6
Simulated X-ray diffraction stick pattern, a wavelength of 1.5418 Å. Input: the GGA-PBE geometry in Alexandria.
Neutral-atom scattering factors, no anomalous dispersion.

Main lines, by angle (10 to 90 degrees two-theta):
| d [Å] | 2theta | I (rel.) | h k l |
| --- | --- | --- | --- |
| 4.675 | 18.98 | 1000 | 1 1 0 |
| 3.559 | 25.02 | 691 | 1 0 3 |
| 3.306 | 26.97 | 175 | 2 0 0 |
| 2.422 | 37.12 | 834 | 2 1 3 |
| 2.338 | 38.51 | 237 | 2 2 0 |
| 2.091 | 43.27 | 176 | 3 1 0 |
| 1.954 | 46.48 | 317 | 3 0 3 |
| 1.924 | 47.24 | 194 | 1 1 6 |
| 1.499 | 61.90 | 151 | 4 1 3 |
| 1.486 | 62.52 | 136 | 3 1 6 |

Cell and atoms:
```
data_AgPb2Cl6
_symmetry_space_group_name_H-M 'P 42/m n m'
_symmetry_Int_Tables_number 136
_symmetry_space_group_name_Hall '-P 4n 2n'
_cell_length_a 6.612
_cell_length_b 6.612
_cell_length_c 12.667
_cell_angle_alpha 90.00
_cell_angle_beta 90.00
_cell_angle_gamma 90.00
loop_
_atom_site_label
_atom_site_type_symbol
_atom_site_fract_x
_atom_site_fract_y
_atom_site_fract_z
_atom_site_occupancy
Ag1 Ag 0.000 0.000 0.000 1
Pb1 Pb 0.000 0.000 0.334 1
Cl1 Cl 0.193 0.193 0.148 1
Cl2 Cl 0.197 0.197 0.500 1
```


# 8
# Sc2Ni9Mo
Simulated X-ray diffraction stick pattern, a wavelength of 1.5418 Å. Input: the GGA-PBE geometry in Alexandria.
Neutral-atom scattering factors, no anomalous dispersion.

Main lines, by angle (10 to 90 degrees two-theta):
| d [Å] | 2theta | I (rel.) | h k l |
| --- | --- | --- | --- |
| 5.539 | 16.00 | 29 | 0 0 2 |
| 3.064 | 29.15 | 19 | 1 0 2 |
| 2.126 | 42.52 | 1000 | 1 1 3 |
| 1.896 | 47.97 | 22 | 1 1 4 |
| 1.846 | 49.36 | 152 | 0 0 6 |
| 1.839 | 49.58 | 315 | 2 0 0 |
| 1.303 | 72.56 | 176 | 2 0 6 |
| 1.300 | 72.73 | 92 | 2 2 0 |
| 1.113 | 87.73 | 99 | 1 1 9 |
| 1.109 | 88.06 | 216 | 3 1 3 |

Cell and atoms:
```
data_Sc2Ni9Mo
_symmetry_space_group_name_H-M 'P 4/m m m'
_symmetry_Int_Tables_number 123
_symmetry_space_group_name_Hall '-P 4 2'
_cell_length_a 3.677
_cell_length_b 3.677
_cell_length_c 11.078
_cell_angle_alpha 90.00
_cell_angle_beta 90.00
_cell_angle_gamma 90.00
loop_
_atom_site_label
_atom_site_type_symbol
_atom_site_fract_x
_atom_site_fract_y
_atom_site_fract_z
_atom_site_occupancy
Sc1 Sc 0.000 0.000 0.164 1
Ni1 Ni 0.000 0.500 0.000 1
Ni2 Ni 0.000 0.500 0.343 1
Ni3 Ni 0.500 0.500 0.172 1
Ni4 Ni 0.500 0.500 0.500 1
Mo1 Mo 0.000 0.000 0.500 1
```


# 9
# Tb8YTm4
Simulated X-ray diffraction stick pattern, a wavelength of 1.5418 Å. Input: the GGA-PBE geometry in Alexandria.
Neutral-atom scattering factors, no anomalous dispersion.

Main lines, by angle (10 to 90 degrees two-theta):
| d [Å] | 2theta | I (rel.) | h k l |
| --- | --- | --- | --- |
| 3.107 | 28.74 | 214 | 0 2 1 |
| 3.053 | 29.25 | 385 | 0 0 9 |
| 2.846 | 31.43 | 1000 | 0 2 4 |
| 2.718 | 32.96 | 453 | 2 0 5 |
| 2.312 | 38.95 | 314 | 2 0 8 |
| 1.805 | 50.56 | 296 | 2 2 0 |
| 1.751 | 52.23 | 180 | 0 2 13 |
| 1.554 | 59.48 | 237 | 2 2 9 |
| 1.524 | 60.76 | 136 | 4 0 4 |
| 1.165 | 82.86 | 152 | 2 4 4 |

Cell and atoms:
```
data_Tb8YTm4
_symmetry_space_group_name_H-M 'R -3 m'
_symmetry_Int_Tables_number 166
_symmetry_space_group_name_Hall '-R 3 2"'
_cell_length_a 7.2208
_cell_length_b 7.2208
_cell_length_c 27.4835
_cell_angle_alpha 90.00
_cell_angle_beta 90.00
_cell_angle_gamma 120.00
loop_
_atom_site_label
_atom_site_type_symbol
_atom_site_fract_x
_atom_site_fract_y
_atom_site_fract_z
_atom_site_occupancy
Tb1 Tb 0.0000 0.0000 0.2154 1
Tb2 Tb 0.0344 0.5172 0.7658 1
Y1 Y 0.0000 0.0000 0.5000 1
Tm1 Tm 0.0000 0.0000 0.0000 1
Tm2 Tm 0.0000 0.5000 0.0000 1
```


# 10
# NdPaCo
Simulated X-ray diffraction stick pattern, a wavelength of 1.5418 Å. Input: the GGA-PBE geometry in Alexandria.
Neutral-atom scattering factors, no anomalous dispersion.

Main lines, by angle (10 to 90 degrees two-theta):
| d [Å] | 2theta | I (rel.) | h k l |
| --- | --- | --- | --- |
| 6.253 | 14.16 | 357 | 0 0 1 |
| 3.016 | 29.62 | 1000 | 1 1 1 |
| 2.631 | 34.08 | 317 | 1 0 2 |
| 2.434 | 36.93 | 587 | 2 0 0 |
| 2.314 | 38.91 | 224 | 1 1 2 |
| 1.921 | 47.33 | 196 | 2 0 2 |
| 1.787 | 51.12 | 197 | 2 1 2 |
| 1.721 | 53.22 | 206 | 2 2 0 |
| 1.495 | 62.09 | 259 | 3 1 1 |
| 1.423 | 65.59 | 200 | 1 1 4 |

Cell and atoms:
```
data_NdPaCo
_symmetry_space_group_name_H-M 'P 4/n m m'
_symmetry_Int_Tables_number 129
_cell_length_a 4.868
_cell_length_b 4.868
_cell_length_c 6.253
_cell_angle_alpha 90.00
_cell_angle_beta 90.00
_cell_angle_gamma 90.00
loop_
_symmetry_equiv_pos_as_xyz
'x,y,z'
'-x,-y,-z'
'-y+1/2,x,z'
'y+1/2,-x,-z'
'-x+1/2,-y+1/2,z'
'x+1/2,y+1/2,-z'
'y,-x+1/2,z'
'-y,x+1/2,-z'
'x+1/2,-y,-z'
'-x+1/2,y,z'
'-y,-x,-z'
'y,x,z'
'-x,y+1/2,-z'
'x,-y+1/2,z'
'y+1/2,x+1/2,-z'
'-y+1/2,-x+1/2,z'
loop_
_atom_site_label
_atom_site_type_symbol
_atom_site_fract_x
_atom_site_fract_y
_atom_site_fract_z
_atom_site_occupancy
Nd1 Nd 0.250 0.250 0.106 1
Pa1 Pa 0.250 0.750 0.500 1
Co1 Co 0.250 0.250 0.639 1
```


# 11
# Sr4ZnGa
Simulated X-ray diffraction stick pattern, a wavelength of 1.5418 Å. Input: the GGA-PBE geometry in Alexandria.
Neutral-atom scattering factors, no anomalous dispersion.

Main lines, by angle (10 to 90 degrees two-theta):
| d [Å] | 2theta | I (rel.) | h k l |
| --- | --- | --- | --- |
| 3.342 | 26.67 | 918 | 3 1 -1 |
| 3.215 | 27.74 | 1000 | 0 4 1 |
| 3.059 | 29.19 | 700 | 2 4 -1 |
| 2.997 | 29.81 | 342 | 0 0 2 |
| 2.911 | 30.71 | 538 | 1 3 -2 |
| 2.866 | 31.20 | 440 | 1 5 0 |
| 2.789 | 32.09 | 446 | 0 2 2 |
| 2.690 | 33.31 | 532 | 3 3 -2 |
| 2.604 | 34.44 | 465 | 2 2 1 |
| 2.459 | 36.54 | 648 | 3 3 0 |

Cell and atoms:
```
data_Sr4ZnGa
_symmetry_space_group_name_H-M 'C 1 2/c 1'
_symmetry_Int_Tables_number 15
_cell_length_a 10.377
_cell_length_b 15.240
_cell_length_c 7.378
_cell_angle_alpha 90.00
_cell_angle_beta 125.67
_cell_angle_gamma 90.00
loop_
_symmetry_equiv_pos_as_xyz
'x,y,z'
'-x,-y,-z'
'-x,y,-z+1/2'
'x,-y,z+1/2'
'x+1/2,y+1/2,z'
'-x+1/2,-y+1/2,-z'
'-x+1/2,y+1/2,-z+1/2'
'x+1/2,-y+1/2,z+1/2'
loop_
_atom_site_label
_atom_site_type_symbol
_atom_site_fract_x
_atom_site_fract_y
_atom_site_fract_z
_atom_site_occupancy
Sr1 Sr 0.131 0.184 0.099 1
Sr2 Sr 0.193 0.444 0.259 1
Zn1 Zn 0.000 0.001 0.250 1
Ga1 Ga 0.000 0.366 0.750 1
```


# 12
# CaSm7Y12
Simulated X-ray diffraction stick pattern, a wavelength of 1.5418 Å. Input: the GGA-PBE geometry in Alexandria.
Neutral-atom scattering factors, no anomalous dispersion.

Main lines, by angle (10 to 90 degrees two-theta):
| d [Å] | 2theta | I (rel.) | h k l |
| --- | --- | --- | --- |
| 5.685 | 15.59 | 261 | 2 0 0 |
| 4.020 | 22.11 | 533 | 2 2 0 |
| 3.282 | 27.17 | 403 | 2 2 2 |
| 2.842 | 31.47 | 1000 | 4 0 0 |
| 2.321 | 38.80 | 255 | 4 2 2 |
| 2.010 | 45.11 | 727 | 4 4 0 |
| 1.714 | 53.46 | 171 | 6 2 2 |
| 1.641 | 56.04 | 252 | 4 4 4 |
| 1.271 | 74.67 | 315 | 8 4 0 |
| 1.160 | 83.27 | 236 | 8 4 4 |

Cell and atoms:
```
data_CaSm7Y12
_symmetry_space_group_name_H-M 'I m -3 m'
_symmetry_Int_Tables_number 229
_symmetry_space_group_name_Hall '-I 4 2 3'
_cell_length_a 11.369
_cell_length_b 11.369
_cell_length_c 11.369
_cell_angle_alpha 90.00
_cell_angle_beta 90.00
_cell_angle_gamma 90.00
loop_
_atom_site_label
_atom_site_type_symbol
_atom_site_fract_x
_atom_site_fract_y
_atom_site_fract_z
_atom_site_occupancy
Ca1 Ca 0.000 0.000 0.000 1
Sm1 Sm 0.000 0.000 0.500 1
Sm2 Sm 0.250 0.250 0.250 1
Y1 Y 0.000 0.254 0.254 1
```